Entry 1:
Diffraction record for Cu2BPb. The powder XRD pattern is calculated, not measured: it uses a crystal structure in OQMD, relaxed with GGA-PBE and a wavelength of 1.5418 Å.
Peak positions follow from Bragg's law for the DFT cell and can differ from measured ones.

Main lines, sorted by position (2θ = 10–90°):
Position (°2θ)	I/Imax
14.14	18
24.61	29
31.95	77
40.74	100
43.33	31
60.98	25
66.78	19
74.15	22

Crystal structure
abc: 6.264 6.264 6.264
angles: 90.00 90.00 90.00
Fractional positions:
1 Cu 0.197 0.197 0.197
2 Cu 0.197 0.197 0.803
3 Cu 0.197 0.803 0.197
4 Cu 0.197 0.803 0.803
5 Cu 0.803 0.197 0.197
6 Cu 0.803 0.197 0.803
7 Cu 0.803 0.803 0.197
8 Cu 0.803 0.803 0.803
9 B 0.000 0.000 0.000
10 B 0.000 0.000 0.500
11 B 0.000 0.500 0.000
12 B 0.500 0.000 0.000
13 Pb 0.000 0.500 0.500
14 Pb 0.500 0.000 0.500
15 Pb 0.500 0.500 0.000
16 Pb 0.500 0.500 0.500


Entry 2:
Diffraction record for CsEr2Cu3Te5. The powder XRD pattern is calculated, not measured: it uses a crystal structure in OQMD, relaxed with GGA-PBE and a wavelength of 1.5418 Å.
Peak positions follow from Bragg's law for the DFT cell and can differ from measured ones.

Main lines, sorted by position (2θ = 10–90°):
Position (°2θ)	I/Imax
26.69	64
27.15	100
28.45	60
29.24	69
33.20	55
35.44	39
41.34	56
43.95	55

Crystal structure
abc: 8.073 8.073 18.325
angles: 90.00 90.00 148.61
Fractional positions:
1 Cs 0.057 0.943 0.750
2 Cs 0.943 0.057 0.250
3 Er 0.192 0.808 0.090
4 Er 0.192 0.808 0.410
5 Er 0.808 0.192 0.590
6 Er 0.808 0.192 0.910
7 Cu 0.345 0.655 0.750
8 Cu 0.417 0.583 0.027
9 Cu 0.417 0.583 0.473
10 Cu 0.583 0.417 0.527
11 Cu 0.583 0.417 0.973
12 Cu 0.655 0.345 0.250
13 Te 0.166 0.834 0.573
14 Te 0.166 0.834 0.927
15 Te 0.242 0.758 0.250
16 Te 0.441 0.559 0.615
17 Te 0.441 0.559 0.885
18 Te 0.559 0.441 0.115
19 Te 0.559 0.441 0.385
20 Te 0.758 0.242 0.750
21 Te 0.834 0.166 0.073
22 Te 0.834 0.166 0.427


Entry 3:
Diffraction record for YTmRe2Si2C. The powder XRD pattern is calculated, not measured: it uses a crystal structure in OQMD, relaxed with GGA-PBE and a wavelength of 1.5418 Å.
Peak positions follow from Bragg's law for the DFT cell and can differ from measured ones.

Main lines, sorted by position (2θ = 10–90°):
Position (°2θ)	I/Imax
16.16	43
25.84	29
33.22	43
33.49	97
35.72	100
38.51	26
40.98	30
45.56	32

Crystal structure
abc: 5.799 5.799 6.897
angles: 124.69 124.69 40.16
Fractional positions:
1 Y 0.000 0.000 0.000
2 Tm 0.855 0.855 0.402
3 Re 0.219 0.219 0.607
4 Re 0.635 0.635 0.792
5 Si 0.286 0.286 0.022
6 Si 0.568 0.568 0.380
7 C 0.426 0.426 0.696


Entry 4:
Diffraction record for KErSn. The powder XRD pattern is calculated, not measured: it uses a crystal structure in OQMD, relaxed with GGA-PBE and a wavelength of 1.5418 Å.
Peak positions follow from Bragg's law for the DFT cell and can differ from measured ones.

Main lines, sorted by position (2θ = 10–90°):
Position (°2θ)	I/Imax
20.56	72
33.89	100
39.97	41
48.69	18
53.38	18
60.64	37
64.75	14
81.35	16

Crystal structure
abc: 5.290 5.290 5.290
angles: 60.00 60.00 60.00
Fractional positions:
1 K 0.000 0.000 0.000
2 Er 0.250 0.250 0.250
3 Sn 0.500 0.500 0.500


Entry 5:
Diffraction record for CsHoCdTe3. The powder XRD pattern is calculated, not measured: it uses a crystal structure in OQMD, relaxed with GGA-PBE and a wavelength of 1.5418 Å.
Peak positions follow from Bragg's law for the DFT cell and can differ from measured ones.

Main lines, sorted by position (2θ = 10–90°):
Position (°2θ)	I/Imax
10.31	78
26.27	100
29.40	65
30.25	50
36.24	54
39.98	35
46.17	41
48.15	31

Crystal structure
abc: 8.870 8.870 11.817
angles: 90.00 90.00 150.54
Fractional positions:
1 Cs 0.249 0.751 0.750
2 Cs 0.751 0.249 0.250
3 Ho 0.000 0.000 0.000
4 Ho 0.000 0.000 0.500
5 Cd 0.462 0.538 0.250
6 Cd 0.538 0.462 0.750
7 Te 0.066 0.934 0.250
8 Te 0.379 0.621 0.045
9 Te 0.379 0.621 0.455
10 Te 0.621 0.379 0.545
11 Te 0.621 0.379 0.955
12 Te 0.934 0.066 0.750


Entry 6:
Diffraction record for CsDy2CuSe3S. The powder XRD pattern is calculated, not measured: it uses a crystal structure in OQMD, relaxed with GGA-PBE and a wavelength of 1.5418 Å.
Peak positions follow from Bragg's law for the DFT cell and can differ from measured ones.

Main lines, sorted by position (2θ = 10–90°):
Position (°2θ)	I/Imax
22.31	84
25.68	36
29.11	90
31.10	100
33.73	47
37.77	31
42.50	69
43.91	43

Crystal structure
abc: 7.558 7.558 14.294
angles: 90.00 90.00 148.33
Fractional positions:
1 Cs 0.102 0.898 0.750
2 Cs 0.898 0.102 0.250
3 Dy 0.367 0.633 0.567
4 Dy 0.367 0.633 0.933
5 Dy 0.633 0.367 0.067
6 Dy 0.633 0.367 0.433
7 Cu 0.162 0.838 0.250
8 Cu 0.838 0.162 0.750
9 Se 0.000 0.000 0.000
10 Se 0.000 0.000 0.500
11 Se 0.260 0.740 0.108
12 Se 0.260 0.740 0.392
13 Se 0.740 0.260 0.608
14 Se 0.740 0.260 0.892
15 S 0.417 0.583 0.750
16 S 0.583 0.417 0.250


Entry 7:
Diffraction record for Al2W4CN. The powder XRD pattern is calculated, not measured: it uses a crystal structure in OQMD, relaxed with GGA-PBE and a wavelength of 1.5418 Å.
Peak positions follow from Bragg's law for the DFT cell and can differ from measured ones.

Main lines, sorted by position (2θ = 10–90°):
Position (°2θ)	I/Imax
12.19	37
24.52	29
35.88	22
36.42	30
37.15	22
40.58	100
57.72	21
64.48	19

Crystal structure
abc: 2.890 2.890 14.520
angles: 90.00 90.00 120.00
Fractional positions:
1 Al 0.333 0.667 0.253
2 Al 0.667 0.333 0.747
3 W 0.333 0.667 0.593
4 W 0.333 0.667 0.902
5 W 0.667 0.333 0.098
6 W 0.667 0.333 0.407
7 C 0.000 0.000 0.500
8 N 0.000 0.000 0.000


Entry 8:
Diffraction record for Tc2NiAs. The powder XRD pattern is calculated, not measured: it uses a crystal structure in OQMD, relaxed with GGA-PBE and a wavelength of 1.5418 Å.
Peak positions follow from Bragg's law for the DFT cell and can differ from measured ones.

Main lines, sorted by position (2θ = 10–90°):
Position (°2θ)	I/Imax
25.46	4
42.18	100
49.91	2
61.17	16
67.35	1
77.10	32
82.75	1

Crystal structure
abc: 4.285 4.285 4.285
angles: 60.00 60.00 60.00
Fractional positions:
1 Tc 0.000 0.000 0.000
2 Tc 0.250 0.250 0.250
3 Ni 0.750 0.750 0.750
4 As 0.500 0.500 0.500


What did the first record say?
Diffraction record for Cu2BPb. The powder XRD pattern is calculated, not measured: it uses a crystal structure in OQMD, relaxed with GGA-PBE and a wavelength of 1.5418 Å.
Peak positions follow from Bragg's law for the DFT cell and can differ from measured ones.

Main lines, sorted by position (2θ = 10–90°):
Position (°2θ)	I/Imax
14.14	18
24.61	29
31.95	77
40.74	100
43.33	31
60.98	25
66.78	19
74.15	22

Crystal structure
abc: 6.264 6.264 6.264
angles: 90.00 90.00 90.00
Fractional positions:
1 Cu 0.197 0.197 0.197
2 Cu 0.197 0.197 0.803
3 Cu 0.197 0.803 0.197
4 Cu 0.197 0.803 0.803
5 Cu 0.803 0.197 0.197
6 Cu 0.803 0.197 0.803
7 Cu 0.803 0.803 0.197
8 Cu 0.803 0.803 0.803
9 B 0.000 0.000 0.000
10 B 0.000 0.000 0.500
11 B 0.000 0.500 0.000
12 B 0.500 0.000 0.000
13 Pb 0.000 0.500 0.500
14 Pb 0.500 0.000 0.500
15 Pb 0.500 0.500 0.000
16 Pb 0.500 0.500 0.500